# 1
Theoretical X-ray powder pattern
Compound: Hf2N2O
Radiation: copper Kα
Structure: a structure optimized by DFT (GGA-PBE)

Cell and atoms:
Cell lengths 9.3754, 5.5261, 5.8595 Å; angles 90.00, 123.33, 90.00 degrees
Space group Cc (No. 9)
Asymmetric unit:
Hf 0.0000 0.2314 0.0000
Hf 0.2072 0.2613 0.6411
N 0.0916 0.0467 0.8066
N 0.2426 0.4003 0.3245
O 0.4435 0.0953 0.8345

Principal peaks in the range 2θ = 10–80°, in order of falling intensity:
two_theta, d/Å, intensity
30.90, 2.894, 100
32.93, 2.720, 99
30.64, 2.918, 56
32.40, 2.763, 50
45.19, 2.006, 40
49.73, 1.833, 31
58.13, 1.587, 25
57.22, 1.610, 21

# 2
Theoretical X-ray powder pattern
Compound: Hf2N2O
Radiation: copper Kα
Structure: a structure optimized by DFT (GGA-PBE)

Cell and atoms:
Cell lengths 8.1098, 3.2658, 13.7879 Å; angles 90.00, 98.61, 90.00 degrees
Space group Pm (No. 6)
Asymmetric unit:
Hf 0.0000 0.0000 0.0000
Hf 0.0018 0.5000 0.2152
Hf 0.0480 0.5000 0.7878
Hf 0.2961 0.0000 0.6468
Hf 0.3586 0.5000 0.4402
Hf 0.3619 0.0000 0.9380
Hf 0.3718 0.0000 0.2396
Hf 0.6370 0.5000 0.1032
Hf 0.6641 0.0000 0.6057
Hf 0.6898 0.5000 0.8339
Hf 0.7282 0.0000 0.3416
Hf 0.9965 0.5000 0.5019
N 0.1364 0.5000 0.6525
N 0.1740 0.5000 0.9546
N 0.1917 0.0000 0.4929
N 0.2395 0.5000 0.2925
N 0.4819 0.5000 0.5942
N 0.5003 0.0000 0.4036
N 0.5299 0.5000 0.9390
N 0.5650 0.5000 0.2462
N 0.8293 0.0000 0.5069
N 0.8633 0.5000 0.0413
N 0.8898 0.0000 0.8486
N 0.9031 0.5000 0.3486
O 0.1211 0.0000 0.1502
O 0.2242 0.0000 0.7978
O 0.4653 0.0000 0.0905
O 0.5590 0.0000 0.7616
O 0.8009 0.5000 0.6908
O 0.8041 0.0000 0.1890

Principal peaks in the range 2θ = 10–80°, in order of falling intensity:
two_theta, d/Å, intensity
29.97, 2.982, 100
31.83, 2.812, 97
33.80, 2.652, 96
33.53, 2.673, 68
35.44, 2.533, 57
36.68, 2.450, 56
56.85, 1.620, 52
46.06, 1.971, 45

# 3
Theoretical X-ray powder pattern
Compound: Hf2N2O
Radiation: copper Kα
Structure: a structure optimized by DFT (GGA-PBE)

Cell and atoms:
Cell lengths 4.2731, 3.4371, 8.6790 Å; angles 90.00, 100.15, 90.00 degrees
Space group P2_1/m (No. 11)
Asymmetric unit:
Hf 0.1253 0.2500 0.1707
Hf 0.2882 0.2500 0.6062
N 0.2160 0.7500 0.4028
N 0.3284 0.7500 0.7489
O 0.1877 0.7500 0.0609

Principal peaks in the range 2θ = 10–80°, in order of falling intensity:
two_theta, d/Å, intensity
33.46, 2.678, 100
33.67, 2.662, 62
32.40, 2.764, 59
42.38, 2.133, 43
34.15, 2.626, 38
27.00, 3.302, 36
56.36, 1.633, 32
34.79, 2.578, 31

# 4
Theoretical X-ray powder pattern
Compound: Hf2N2O
Radiation: copper Kα
Structure: a structure optimized by DFT (GGA-PBE)

Cell and atoms:
Cell lengths 8.6935, 8.7305, 8.7451 Å; angles 109.36, 109.51, 109.38 degrees
Space group P1 (No. 1)
Asymmetric unit:
Hf 0.0000 0.0000 0.0000
Hf 0.0053 0.4804 0.4949
Hf 0.0332 0.2504 0.7846
Hf 0.2163 0.4523 0.2499
Hf 0.2531 0.6968 0.9646
Hf 0.2603 0.2058 0.4673
Hf 0.2870 0.0327 0.7493
Hf 0.4688 0.7318 0.7130
Hf 0.4907 0.4801 0.9890
Hf 0.5011 0.9896 0.5020
Hf 0.5367 0.2436 0.2844
Hf 0.7169 0.9593 0.2510
Hf 0.7415 0.7766 0.5347
Hf 0.7570 0.2832 0.0429
Hf 0.7804 0.5207 0.7519
Hf 0.9680 0.7318 0.2147
N 0.0113 0.5346 0.2750
N 0.2294 0.9455 0.4657
N 0.2427 0.4573 0.5182
N 0.2591 0.2617 0.7280
N 0.2694 0.2223 0.2247
N 0.2757 0.5065 0.0492
N 0.4685 0.7192 0.4554
N 0.4890 0.2485 0.0313
N 0.5140 0.7352 0.9711
N 0.5399 0.2633 0.5440
N 0.7323 0.4839 0.9576
N 0.7336 0.7510 0.7715
N 0.7747 0.0316 0.5313
N 0.7766 0.2166 0.2681
N 0.9475 0.2092 0.9813
N 0.9915 0.4550 0.7310
O 0.0408 0.9745 0.7665
O 0.0591 0.7724 0.0239
O 0.2281 0.7668 0.7364
O 0.4524 0.9554 0.2282
O 0.5426 0.0222 0.7697
O 0.7502 0.7200 0.2788
O 0.7583 0.5254 0.4772
O 0.9602 0.9924 0.2298

Principal peaks in the range 2θ = 10–80°, in order of falling intensity:
two_theta, d/Å, intensity
30.69, 2.914, 100
35.67, 2.517, 34
30.86, 2.898, 33
60.94, 1.520, 20
35.54, 2.526, 16
51.29, 1.781, 15
51.42, 1.777, 15
51.11, 1.787, 15

# 5
Theoretical X-ray powder pattern
Compound: Hf2N2O
Radiation: copper Kα
Structure: a structure optimized by DFT (GGA-PBE)

Cell and atoms:
Cell lengths 8.4822, 3.0956, 8.4195 Å; angles 90.00, 90.00, 90.00 degrees
Space group Pnma (No. 62)
Asymmetric unit:
Hf 0.0039 0.2500 0.1787
Hf 0.1815 0.2500 0.5014
N 0.0472 0.7500 0.3665
N 0.1248 0.2500 0.9450
O 0.2252 0.7500 0.6900

Principal peaks in the range 2θ = 10–80°, in order of falling intensity:
two_theta, d/Å, intensity
29.91, 2.988, 100
37.56, 2.395, 94
33.43, 2.680, 89
33.64, 2.664, 83
32.58, 2.749, 69
30.77, 2.905, 51
44.88, 2.019, 45
42.03, 2.150, 35

# 6
Theoretical X-ray powder pattern
Compound: Hf2N2O
Radiation: copper Kα
Structure: a structure optimized by DFT (GGA-PBE)

Cell and atoms:
Cell lengths 8.7195, 8.7219, 8.7273 Å; angles 109.49, 109.56, 109.18 degrees
Space group P1 (No. 1)
Asymmetric unit:
Hf 0.0000 0.0000 0.0000
Hf 0.0011 0.5003 0.4935
Hf 0.0412 0.8222 0.2704
Hf 0.2271 0.5356 0.2474
Hf 0.2528 0.7961 0.0296
Hf 0.2612 0.2915 0.5233
Hf 0.2841 0.0291 0.8169
Hf 0.4655 0.7414 0.7768
Hf 0.5041 0.5777 0.0610
Hf 0.5084 0.0720 0.5578
Hf 0.5417 0.3220 0.2826
Hf 0.7181 0.5365 0.7426
Hf 0.7414 0.7762 0.5283
Hf 0.7615 0.2840 0.0279
Hf 0.7822 0.0358 0.3069
Hf 0.9573 0.2493 0.7765
N 0.0132 0.0561 0.2602
N 0.2087 0.7555 0.7539
N 0.2582 0.5191 0.4886
N 0.2846 0.0596 0.0691
N 0.2949 0.8150 0.3019
N 0.4760 0.2676 0.4773
N 0.4815 0.5471 0.2940
N 0.4867 0.5082 0.7987
N 0.5252 0.8274 0.0649
N 0.7136 0.0153 0.5161
N 0.7161 0.8040 0.7652
N 0.7462 0.2422 0.2542
N 0.7643 0.3298 0.8020
N 0.7996 0.5609 0.5408
N 0.9793 0.7380 0.9950
N 0.9939 0.2542 0.0371
O 0.0273 0.0216 0.7472
O 0.0302 0.3058 0.5820
O 0.2178 0.5082 0.9726
O 0.2433 0.0494 0.5681
O 0.5163 0.3185 0.0132
O 0.5246 0.0193 0.7936
O 0.7888 0.7648 0.2855
O 0.9703 0.5574 0.2628

Principal peaks in the range 2θ = 10–80°, in order of falling intensity:
two_theta, d/Å, intensity
30.72, 2.911, 100
35.68, 2.517, 34
30.76, 2.906, 34
51.21, 1.784, 23
61.06, 1.518, 17
35.53, 2.526, 16
51.29, 1.781, 15
60.91, 1.521, 13